(1)
Starting from a structure optimized by DFT (GGA+U), the powder diffraction line list of Li9Mn7O16 was computed for Cu Kα (weighted mean of Kα1 and Kα2).
No peak broadening, texture or thermal motion is included.

Most intense lines, 5 to 70 degrees two-theta, in order of falling intensity:
18.3°, intensity 100.0; 44.2°, intensity 55.8; 40.8°, intensity 34.4; 36.2°, intensity 23.3; 33.8°, intensity 19.4; 62.1°, intensity 16.7; 61.3°, intensity 15.9; 58.3°, intensity 10.8; 46.9°, intensity 9.8; 64.8°, intensity 7.6

Structure:
Lattice parameters (Å, degrees): 9.8711 2.8756 10.5275 90.00 96.14 90.00
Space group P2/m (No. 10)
One atom of each set of equivalent atoms:
1 Li 0.0000 0.0000 0.0000
2 Li 0.0000 0.0000 0.5000
3 Li 0.2540 0.5000 0.1306
4 Li 0.2557 0.5000 0.6183
5 Li 0.4982 0.0000 0.7419
6 Li 0.5000 0.5000 0.5000
7 Mn 0.0072 0.5000 0.2557
8 Mn 0.2473 0.0000 0.8727
9 Mn 0.2623 0.0000 0.3871
10 Mn 0.5000 0.5000 0.0000
11 O 0.1060 0.0000 0.6889
12 O 0.1275 0.0000 0.2058
13 O 0.1354 0.5000 0.9361
14 O 0.1416 0.5000 0.4350
15 O 0.3590 0.5000 0.8109
16 O 0.3613 0.0000 0.5425
17 O 0.3636 0.5000 0.3179
18 O 0.3888 0.0000 0.0612

***

(2)
Starting from a structure optimized by DFT (GGA+U), the powder diffraction line list of Li2MnPCO7 was computed for Cu Kα (weighted mean of Kα1 and Kα2).
No peak broadening, texture or thermal motion is included.

Most intense lines, 5 to 70 degrees two-theta, in order of falling intensity:
10.6°, intensity 100.0; 27.2°, intensity 91.0; 21.3°, intensity 48.2; 26.8°, intensity 35.3; 20.0°, intensity 31.3; 35.8°, intensity 21.6; 36.7°, intensity 21.4; 22.3°, intensity 19.2; 17.1°, intensity 18.2; 17.3°, intensity 18.1

Structure:
Lattice parameters (Å, degrees): 5.0237 6.5463 16.7390 90.54 93.98 90.19
Space group P1 (No. 1)
One atom of each set of equivalent atoms:
1 Li 0.0000 0.0000 0.0000
2 Li 0.0014 0.0008 0.5095
3 Li 0.0006 0.5585 0.5083
4 Li 0.4976 0.4956 0.2670
5 Li 0.5003 0.0568 0.2673
6 Li 0.5078 0.0573 0.7656
7 Li 0.5133 0.5006 0.7674
8 Li 0.5245 0.7665 0.0802
9 Mn 0.5565 0.2791 0.4701
10 Mn 0.5569 0.2836 0.9726
11 Mn 0.9473 0.7757 0.3049
12 Mn 0.9663 0.7827 0.8042
13 P 0.0207 0.2778 0.3442
14 P 0.0216 0.2758 0.8451
15 P 0.4689 0.7828 0.9257
16 P 0.4840 0.7784 0.4301
17 C 0.0415 0.7911 0.1567
18 C 0.0480 0.7768 0.6620
19 C 0.4755 0.2710 0.1148
20 C 0.4796 0.2799 0.6136
21 O 0.0777 0.7792 0.5882
22 O 0.1343 0.8140 0.0892
23 O 0.1597 0.8132 0.9083
24 O 0.1729 0.7786 0.4218
25 O 0.2129 0.7769 0.2219
26 O 0.2456 0.7800 0.7173
27 O 0.2903 0.2646 0.0545
28 O 0.2920 0.2784 0.5518
29 O 0.3315 0.2789 0.3543
30 O 0.3341 0.2740 0.8573
31 O 0.4152 0.2801 0.6848
32 O 0.4175 0.2724 0.1872
33 O 0.5287 0.5944 0.9771
34 O 0.5783 0.7767 0.3419
35 O 0.5787 0.9603 0.9805
36 O 0.5873 0.7776 0.8432
37 O 0.5956 0.5905 0.4749
38 O 0.5975 0.9683 0.4750
39 O 0.7161 0.2793 0.0916
40 O 0.7192 0.2810 0.5905
41 O 0.7925 0.7819 0.1706
42 O 0.8125 0.7715 0.6920
43 O 0.9090 0.2604 0.9294
44 O 0.9120 0.0858 0.2982
45 O 0.9115 0.4668 0.2980
46 O 0.9184 0.0936 0.7924
47 O 0.9207 0.2800 0.4309
48 O 0.9213 0.4694 0.8016

***

(3)
Starting from a structure optimized by DFT (GGA+U), the powder diffraction line list of Mn3O2F4 was computed for Cu Kα (weighted mean of Kα1 and Kα2).
No peak broadening, texture or thermal motion is included.

Most intense lines, 5 to 70 degrees two-theta, in order of falling intensity:
26.6°, intensity 100.0; 33.6°, intensity 40.2; 33.0°, intensity 18.5; 54.8°, intensity 17.6; 50.8°, intensity 17.5; 52.0°, intensity 15.7; 51.5°, intensity 14.7; 51.8°, intensity 13.0; 38.3°, intensity 12.2; 56.8°, intensity 11.3

Structure:
Lattice parameters (Å, degrees): 4.7954 4.6836 10.7487 90.00 115.20 90.00
Space group P2_1/c (No. 14)
One atom of each set of equivalent atoms:
1 Mn 0.0000 0.0000 0.0000
2 Mn 0.3599 0.0228 0.3252
3 O 0.3601 0.6715 0.6667
4 F 0.0549 0.7286 0.3369
5 F 0.3026 0.1942 0.4878